(1)
The following is a theoretical powder XRD pattern of SrCdAg2F8. It was derived from DFT lattice parameters and positions (GGA-PBE), using copper Kα.

```
SrCdAg2F8
1.0
-2.7861 2.7861 5.6055
2.7861 -2.7861 5.6055
2.7861 2.7861 -5.6055
Sr Cd Ag F
1 1 2 8
Cartesian
0.0000 0.0000 0.0000
2.7861 0.0000 2.8027
0.0000 0.0000 5.6055
0.0000 2.7861 2.8027
1.4352 1.4359 -1.4423
1.3509 -1.3502 4.1632
1.4359 1.4352 1.4423
4.1363 1.4352 1.4423
1.4352 4.1363 -1.4423
1.3509 1.3502 4.1632
-1.3502 1.3509 7.0478
1.3502 1.3509 7.0478
```

Largest 10 diffraction maxima, sorted by position, 10 to 90 degrees two-theta:
2θ/deg  d [Å]  I_rel
27.67  3.223  1000
31.93  2.803  67
32.13  2.786  132
45.93  1.976  439
46.07  1.970  217
54.34  1.688  145
54.60  1.681  285
73.94  1.282  112
84.92  1.142  63
85.24  1.139  125



(2)
The following is a theoretical powder XRD pattern of TlCd2AgF8. It was derived from DFT lattice parameters and positions (GGA-PBE), using copper Kα.

```
TlCd2AgF8
1.0
3.9843 0.0000 0.0000
0.0000 5.5355 0.0000
0.0000 0.0000 7.8185
Tl Cd Ag F
1 2 1 8
Cartesian
0.0000 0.0000 0.0000
1.9922 2.7677 2.0279
1.9922 2.7677 5.7906
0.0000 0.0000 3.9093
0.0000 1.4310 1.7531
0.0000 1.4310 6.0654
0.0000 4.1045 1.7531
0.0000 4.1045 6.0654
1.9922 1.3419 0.0000
1.9922 1.4468 3.9093
1.9922 4.0887 3.9093
1.9922 4.1936 0.0000
```

Largest 10 diffraction maxima, sorted by position, 10 to 90 degrees two-theta:
2θ/deg  d [Å]  I_rel
27.58  3.234  1000
27.94  3.193  986
32.08  2.790  342
32.35  2.768  166
45.53  1.992  208
46.20  1.965  780
46.46  1.955  183
54.27  1.690  302
54.87  1.673  433
86.02  1.130  160



(3)
The following is a theoretical powder XRD pattern of Cd14GaAg. It was derived from DFT lattice parameters and positions (GGA-PBE), using copper Kα.

```
Cd14GaAg
1.0
6.3573 0.0000 0.0000
0.0000 6.3573 0.0000
0.0000 0.0000 8.6448
Cd Ga Ag
14 1 1
Cartesian
0.0000 0.0000 0.0000
0.0000 3.1787 0.0000
0.0000 3.1787 4.3224
1.5758 1.5758 2.2070
1.5758 1.5758 6.4378
1.5758 4.7816 2.2070
1.5758 4.7816 6.4378
3.1787 0.0000 0.0000
3.1787 0.0000 4.3224
3.1787 3.1787 0.0000
4.7816 1.5758 2.2070
4.7816 1.5758 6.4378
4.7816 4.7816 2.2070
4.7816 4.7816 6.4378
3.1787 3.1787 4.3224
0.0000 0.0000 4.3224
```

Largest 9 diffraction maxima, sorted by position, 10 to 90 degrees two-theta:
2θ/deg  d [Å]  I_rel
35.04  2.561  1000
40.12  2.248  342
41.80  2.161  150
58.03  1.589  110
59.32  1.558  204
69.62  1.350  249
71.95  1.312  111
74.04  1.280  103
86.63  1.124  35



(4)
The following is a theoretical powder XRD pattern of Cd3GaAg6. It was derived from DFT lattice parameters and positions (GGA-PBE), using copper Kα.

```
Cd3GaAg6
1.0
9.1524 0.0000 0.0000
0.0000 4.3654 0.0000
-0.2112 0.0000 9.3344
Cd Ga Ag
6 2 12
Cartesian
0.3210 1.0914 3.7307
1.2987 3.2741 1.8920
2.3268 1.0914 0.0103
6.6145 3.2741 9.3241
7.6426 1.0914 7.4424
8.6203 3.2741 5.6037
3.9815 1.0914 5.6974
4.9597 3.2741 3.6370
0.3040 3.2741 8.4053
1.3212 1.0914 6.5222
2.3177 3.2741 4.6961
3.0695 3.2741 7.4940
3.1864 1.0914 2.9046
4.0866 3.2741 0.9749
4.8547 1.0914 8.3595
5.7548 3.2741 6.4298
5.8718 1.0914 1.8404
6.6235 1.0914 4.6383
7.6201 3.2741 2.8122
8.6372 1.0914 0.9291
```

Largest 10 diffraction maxima, sorted by position, 10 to 90 degrees two-theta:
2θ/deg  d [Å]  I_rel
37.02  2.428  1000
41.37  2.183  184
43.12  2.098  160
44.50  2.036  142
61.28  1.513  108
62.37  1.489  99
72.58  1.303  128
74.97  1.267  57
75.08  1.265  56
76.94  1.239  50



(5)
The following is a theoretical powder XRD pattern of CdGa12Ag7. It was derived from DFT lattice parameters and positions (GGA-PBE), using copper Kα.

```
CdGa12Ag7
1.0
5.3330 3.0790 3.8515
-5.3330 3.0790 3.8515
0.0000 -6.1580 3.8515
Cd Ga Ag
1 12 7
Cartesian
0.0000 0.0000 0.0000
-3.2130 1.0796 4.1799
-1.8532 -1.7785 4.8889
0.6715 -3.3223 4.1799
-2.5414 -2.2427 7.3744
-2.4668 0.7157 6.6655
0.6136 -2.4942 6.6655
-0.6136 2.4942 4.8889
2.4668 -0.7157 4.8889
2.5414 2.2427 4.1799
-0.6715 3.3223 7.3744
1.8532 1.7785 6.6655
3.2130 -1.0796 7.3744
-0.5938 -1.6607 2.3612
-1.1413 1.3446 2.3612
1.7351 0.3161 2.3612
0.0000 0.0000 5.7772
-1.7351 -0.3161 9.1931
1.1413 -1.3446 9.1931
0.5938 1.6607 9.1931
```

Largest 10 diffraction maxima, sorted by position, 10 to 90 degrees two-theta:
2θ/deg  d [Å]  I_rel
32.48  2.757  137
35.90  2.501  1000
37.39  2.405  263
38.44  2.342  611
40.23  2.242  242
40.53  2.226  454
41.18  2.192  157
43.81  2.067  129
45.60  1.989  162
67.23  1.392  142



(6)
The following is a theoretical powder XRD pattern of Cd2Ga4Ag5. It was derived from DFT lattice parameters and positions (GGA-PBE), using copper Kα.

```
Cd2Ga4Ag5
1.0
5.4195 -2.9082 0.0000
5.4195 2.9082 0.0000
-5.0413 0.0000 6.7921
Cd Ga Ag
2 4 5
Cartesian
1.0872 0.0000 2.1604
4.7106 0.0000 4.6317
-0.8532 0.0000 4.3855
-2.3368 0.0000 6.7133
8.1346 0.0000 0.0788
6.6511 0.0000 2.4066
1.9142 1.4497 4.6853
3.8836 1.4497 2.1068
5.4195 0.0000 0.0000
1.9142 -1.4497 4.6853
3.8836 -1.4497 2.1068
```

Largest 10 diffraction maxima, sorted by position, 10 to 90 degrees two-theta:
2θ/deg  d [Å]  I_rel
36.42  2.467  756
37.18  2.418  1000
37.87  2.376  447
39.82  2.264  590
40.85  2.209  166
41.50  2.176  552
44.87  2.020  556
60.39  1.533  183
75.97  1.253  163
79.24  1.209  159



(7)
The following is a theoretical powder XRD pattern of CdGa7Ag4. It was derived from DFT lattice parameters and positions (GGA-PBE), using copper Kα.

```
CdGa7Ag4
1.0
3.1285 0.0000 0.0000
-1.5643 2.7094 0.0000
0.0000 0.0000 26.1110
Cd Ga Ag
1 7 4
Cartesian
0.0000 0.0000 0.0000
0.0000 0.0000 6.6820
0.0000 0.0000 13.0555
0.0000 0.0000 19.4290
0.0000 1.8063 17.3488
0.0000 1.8063 23.7123
1.5643 0.9031 2.3987
1.5643 0.9031 8.7622
0.0000 1.8063 4.5524
0.0000 1.8063 10.8909
1.5643 0.9031 15.2201
1.5643 0.9031 21.5586
```

Largest 10 diffraction maxima, sorted by position, 10 to 90 degrees two-theta:
2θ/deg  d [Å]  I_rel
16.98  5.222  46
35.89  2.502  1000
41.50  2.176  191
43.41  2.085  548
59.05  1.564  227
66.94  1.398  115
71.07  1.326  126
74.74  1.270  188
76.07  1.251  98
81.91  1.176  57



(8)
The following is a theoretical powder XRD pattern of Cd2GaAg3. It was derived from DFT lattice parameters and positions (GGA-PBE), using copper Kα.

```
Cd2GaAg3
1.0
4.1274 0.0000 0.0000
0.0000 8.2961 0.0000
-1.9342 0.0000 6.6127
Cd Ga Ag
4 2 6
Cartesian
0.0000 0.0000 0.0000
0.0000 4.1480 0.0000
0.0884 0.0000 4.3930
2.1048 0.0000 2.2197
0.0943 4.1480 4.3662
2.0989 4.1480 2.2465
0.0434 2.1579 2.2224
0.0434 6.1382 2.2224
2.0637 2.0974 0.0000
2.0637 6.1987 0.0000
2.1497 2.1579 4.3904
2.1497 6.1382 4.3904
```

Largest 10 diffraction maxima, sorted by position, 10 to 90 degrees two-theta:
2θ/deg  d [Å]  I_rel
36.63  2.453  1000
37.12  2.422  963
40.94  2.204  365
43.64  2.074  296
43.88  2.063  298
61.38  1.510  203
63.61  1.463  182
71.44  1.321  130
72.36  1.306  125
75.57  1.258  111



(9)
The following is a theoretical powder XRD pattern of CdGa4Ag7. It was derived from DFT lattice parameters and positions (GGA-PBE), using copper Kα.

```
CdGa4Ag7
1.0
5.2643 -2.6086 0.0000
5.2643 2.6086 0.0000
-4.8955 0.0000 8.5695
Cd Ga Ag
1 4 7
Cartesian
0.0000 0.0000 0.0000
-0.4920 0.0000 5.8805
3.2392 0.0000 1.9672
2.3940 0.0000 6.6023
6.1252 0.0000 2.6890
-1.4056 0.0000 3.2419
-2.2706 0.0000 7.8681
1.3870 0.0000 3.9223
5.2643 0.0000 0.0000
4.2462 0.0000 4.6472
7.9038 0.0000 0.7014
7.0388 0.0000 5.3276
```

Largest 10 diffraction maxima, sorted by position, 10 to 90 degrees two-theta:
2θ/deg  d [Å]  I_rel
20.73  4.285  232
34.38  2.609  1000
36.16  2.484  803
39.92  2.259  831
41.98  2.152  718
50.75  1.799  587
65.31  1.429  181
66.80  1.400  170
77.69  1.229  170
86.82  1.122  166



(10)
The following is a theoretical powder XRD pattern of Cd2GaAg5. It was derived from DFT lattice parameters and positions (GGA-PBE), using copper Kα.

```
Cd2GaAg5
1.0
5.7771 0.0000 0.0000
0.0000 11.3790 0.0000
0.0000 0.0000 4.4949
Cd Ga Ag
4 2 10
Cartesian
0.9563 1.5803 0.0000
1.9322 7.2698 0.0000
3.8449 4.1092 0.0000
4.8207 9.7987 0.0000
0.0000 5.6895 2.2474
2.8885 0.0000 2.2474
0.0000 0.0000 2.2474
0.5005 8.4799 2.2474
0.9842 4.4671 0.0000
1.9043 10.1566 0.0000
2.3880 2.7904 2.2474
2.8885 5.6895 2.2474
3.3890 8.5886 2.2474
3.8727 1.2224 0.0000
4.7928 6.9119 0.0000
5.2766 2.8991 2.2474
```

Largest 10 diffraction maxima, sorted by position, 10 to 90 degrees two-theta:
2θ/deg  d [Å]  I_rel
36.99  2.430  413
37.41  2.404  1000
37.86  2.376  625
39.20  2.298  280
40.12  2.247  446
44.71  2.027  220
57.34  1.607  174
61.62  1.505  161
71.12  1.326  140
71.42  1.321  127



(11)
The following is a theoretical powder XRD pattern of CdGaAg14. It was derived from DFT lattice parameters and positions (GGA-PBE), using copper Kα.

```
CdGaAg14
1.0
9.6334 0.0000 0.0000
0.0000 2.9823 5.0133
0.0000 -2.9823 5.0133
Cd Ga Ag
1 1 14
Cartesian
0.0000 0.0000 0.0000
0.0000 0.0000 5.0209
0.0000 -1.4839 7.5204
0.0000 1.4839 7.5204
2.4081 0.0000 3.2983
2.4190 -1.4805 5.8016
2.4190 1.4805 5.8016
2.4428 0.0000 8.3106
4.8167 0.0000 1.5879
4.8167 -1.4835 4.0995
4.8167 1.4835 4.0995
4.8167 0.0000 6.6019
7.1906 0.0000 8.3106
7.2144 -1.4805 5.8016
7.2144 1.4805 5.8016
7.2253 0.0000 3.2983
```

Largest 10 diffraction maxima, sorted by position, 10 to 90 degrees two-theta:
2θ/deg  d [Å]  I_rel
36.27  2.477  366
37.06  2.426  204
37.34  2.408  499
39.84  2.263  1000
40.57  2.224  397
45.27  2.003  192
63.85  1.458  190
69.02  1.361  182
74.90  1.268  119
76.36  1.247  223



(12)
The following is a theoretical powder XRD pattern of CdGa4Ag4. It was derived from DFT lattice parameters and positions (GGA-PBE), using copper Kα.

```
CdGa4Ag4
1.0
7.2649 0.0000 0.0000
0.0000 7.2649 0.0000
0.0000 0.0000 7.0479
Cd Ga Ag
2 8 8
Cartesian
1.8162 5.4487 1.7620
5.4487 1.8162 5.2859
0.3344 5.4487 4.2865
1.8162 3.9669 6.2853
1.8162 6.9305 6.2853
3.2980 5.4487 4.2865
3.9669 1.8162 2.7614
5.4487 0.3344 0.7626
5.4487 3.2980 0.7626
6.9305 1.8162 2.7614
0.4219 1.8162 0.1122
1.8162 0.4219 3.6362
1.8162 3.2105 3.6362
3.2105 1.8162 0.1122
4.0544 5.4487 6.9356
5.4487 4.0544 3.4117
5.4487 6.8430 3.4117
6.8430 5.4487 6.9356
```

Largest 10 diffraction maxima, sorted by position, 10 to 90 degrees two-theta:
2θ/deg  d [Å]  I_rel
25.27  3.524  447
27.63  3.229  313
30.29  2.951  541
30.77  2.906  465
34.93  2.569  553
40.35  2.235  360
41.34  2.184  1000
43.60  2.076  657
46.01  1.973  564
77.83  1.227  561



What did the fourth record say?
The following is a theoretical powder XRD pattern of Cd3GaAg6. It was derived from DFT lattice parameters and positions (GGA-PBE), using copper Kα.

```
Cd3GaAg6
1.0
9.1524 0.0000 0.0000
0.0000 4.3654 0.0000
-0.2112 0.0000 9.3344
Cd Ga Ag
6 2 12
Cartesian
0.3210 1.0914 3.7307
1.2987 3.2741 1.8920
2.3268 1.0914 0.0103
6.6145 3.2741 9.3241
7.6426 1.0914 7.4424
8.6203 3.2741 5.6037
3.9815 1.0914 5.6974
4.9597 3.2741 3.6370
0.3040 3.2741 8.4053
1.3212 1.0914 6.5222
2.3177 3.2741 4.6961
3.0695 3.2741 7.4940
3.1864 1.0914 2.9046
4.0866 3.2741 0.9749
4.8547 1.0914 8.3595
5.7548 3.2741 6.4298
5.8718 1.0914 1.8404
6.6235 1.0914 4.6383
7.6201 3.2741 2.8122
8.6372 1.0914 0.9291
```

Largest 10 diffraction maxima, sorted by position, 10 to 90 degrees two-theta:
2θ/deg  d [Å]  I_rel
37.02  2.428  1000
41.37  2.183  184
43.12  2.098  160
44.50  2.036  142
61.28  1.513  108
62.37  1.489  99
72.58  1.303  128
74.97  1.267  57
75.08  1.265  56
76.94  1.239  50